No. 1
The following is a computed powder X-ray diffraction pattern of CuGeB2. It was derived from a GGA-PBE-relaxed structure, using Cu Kα (weighted mean of Kα1 and Kα2).
Lines closer than 0.1° are merged.

```
data_CuGeB2
_chemical_formula_sum 'Cu4 Ge4 B8'
_space_group_name_H-M_alt 'F -4 3 m'
_space_group_IT_number 216
_space_group_name_Hall 'F -4 2 3'
_cell_length_a 5.6577
_cell_length_b 5.6577
_cell_length_c 5.6577
_cell_angle_alpha 90.00
_cell_angle_beta 90.00
_cell_angle_gamma 90.00
loop_
_atom_site_label
_atom_site_type_symbol
_atom_site_fract_x
_atom_site_fract_y
_atom_site_fract_z
Cu1 Cu 0.0000 0.0000 0.0000
Ge1 Ge 0.2500 0.2500 0.2500
B1 B 0.0000 0.0000 0.5000
B2 B 0.2500 0.2500 0.7500
```

Principal peaks in the range 10 to 80 degrees two-theta, sorted by position:
(1 1 1), d 3.266, rel. 862
(2 2 0), d 2.000, rel. 1000
(3 1 1), d 1.706, rel. 402
(4 0 0), d 1.414, rel. 151
(3 3 1), d 1.298, rel. 155


No. 2
The following is a computed powder X-ray diffraction pattern of CuNiGeB. It was derived from a GGA-PBE-relaxed structure, using Cu Kα (weighted mean of Kα1 and Kα2).
Lines closer than 0.1° are merged.

```
data_CuNiGeB
_chemical_formula_sum 'Cu4 Ni4 Ge4 B4'
_space_group_name_H-M_alt 'F -4 3 m'
_space_group_IT_number 216
_space_group_name_Hall 'F -4 2 3'
_cell_length_a 5.6933
_cell_length_b 5.6933
_cell_length_c 5.6933
_cell_angle_alpha 90.00
_cell_angle_beta 90.00
_cell_angle_gamma 90.00
loop_
_atom_site_label
_atom_site_type_symbol
_atom_site_fract_x
_atom_site_fract_y
_atom_site_fract_z
Cu1 Cu 0.0000 0.0000 0.0000
Ni1 Ni 0.2500 0.2500 0.2500
Ge1 Ge 0.0000 0.0000 0.5000
B1 B 0.2500 0.2500 0.7500
```

Principal peaks in the range 10 to 80 degrees two-theta, sorted by position:
(1 1 1), d 3.287, rel. 186
(2 0 0), d 2.847, rel. 147
(2 2 0), d 2.013, rel. 1000
(3 1 1), d 1.717, rel. 85
(2 2 2), d 1.644, rel. 39
(4 0 0), d 1.423, rel. 151
(3 3 1), d 1.306, rel. 32
(4 2 0), d 1.273, rel. 49


No. 3
The following is a computed powder X-ray diffraction pattern of HfCuBPt. It was derived from a GGA-PBE-relaxed structure, using Cu Kα (weighted mean of Kα1 and Kα2).
Lines closer than 0.1° are merged.

```
data_HfCuBPt
_chemical_formula_sum 'Hf4 Cu4 B4 Pt4'
_space_group_name_H-M_alt 'F -4 3 m'
_space_group_IT_number 216
_space_group_name_Hall 'F -4 2 3'
_cell_length_a 5.9844
_cell_length_b 5.9844
_cell_length_c 5.9844
_cell_angle_alpha 90.00
_cell_angle_beta 90.00
_cell_angle_gamma 90.00
loop_
_atom_site_label
_atom_site_type_symbol
_atom_site_fract_x
_atom_site_fract_y
_atom_site_fract_z
Hf1 Hf 0.0000 0.0000 0.0000
Cu1 Cu 0.2500 0.2500 0.2500
B1 B 0.2500 0.2500 0.7500
Pt1 Pt 0.0000 0.0000 0.5000
```

Principal peaks in the range 10 to 80 degrees two-theta, sorted by position:
(1 1 1), d 3.455, rel. 51
(2 0 0), d 2.992, rel. 554
(2 2 0), d 2.116, rel. 1000
(3 1 1), d 1.804, rel. 25
(2 2 2), d 1.728, rel. 157
(4 0 0), d 1.496, rel. 165
(3 3 1), d 1.373, rel. 9
(4 2 0), d 1.338, rel. 208
(4 2 2), d 1.222, rel. 337


No. 4
The following is a computed powder X-ray diffraction pattern of InCu2B. It was derived from a GGA-PBE-relaxed structure, using Cu Kα (weighted mean of Kα1 and Kα2).
Lines closer than 0.1° are merged.

```
data_InCu2B
_chemical_formula_sum 'In4 Cu8 B4'
_space_group_name_H-M_alt 'P m -3 m'
_space_group_IT_number 221
_space_group_name_Hall '-P 4 2 3'
_cell_length_a 5.9934
_cell_length_b 5.9934
_cell_length_c 5.9934
_cell_angle_alpha 90.00
_cell_angle_beta 90.00
_cell_angle_gamma 90.00
loop_
_atom_site_label
_atom_site_type_symbol
_atom_site_fract_x
_atom_site_fract_y
_atom_site_fract_z
In1 In 0.0000 0.0000 0.0000
In2 In 0.0000 0.0000 0.5000
Cu1 Cu 0.2915 0.2915 0.2915
B1 B 0.0000 0.5000 0.5000
B2 B 0.5000 0.5000 0.5000
```

Principal peaks in the range 10 to 80 degrees two-theta, sorted by position:
(1 1 1), d 3.460, rel. 159
(2 1 0), d 2.680, rel. 557
(2 2 0), d 2.119, rel. 1000
(3 0 0), d 1.998, rel. 210
(3 1 1), d 1.807, rel. 54
(4 0 0), d 1.498, rel. 112
(3 2 2), d 1.454, rel. 192
(3 3 1), d 1.375, rel. 48
(4 2 1), d 1.308, rel. 75
(4 2 2), d 1.223, rel. 186


Q: Which formula does entry 1 have?
A: CuGeB2